This entry pairs a crystal structure of Tb3Sm4Dy2 with its computed XRD peak list. Radiation: Cu Ka. Structure: the GGA-PBE geometry in Alexandria.
Neutral-atom scattering factors, no anomalous dispersion.

Cell and atoms:
```
Tb3Sm4Dy2
1.0
4.9090 -8.4674 0.0000
4.9090 8.4674 0.0000
0.0000 0.0000 7.0538
Tb Sm Dy
6 8 4
Direct
0.0000 0.0000 0.2500
0.0000 0.0000 0.7500
0.3306 0.6694 0.2500
0.3306 0.6694 0.7500
0.6694 0.3306 0.2500
0.6694 0.3306 0.7500
0.0207 0.6764 0.0000
0.3220 0.3468 0.0000
0.3236 0.9793 0.5000
0.3468 0.3220 0.5000
0.6532 0.6780 0.5000
0.6764 0.0207 0.5000
0.6780 0.6532 0.0000
0.9793 0.3236 0.0000
0.0215 0.3439 0.5000
0.3439 0.0215 0.0000
0.6561 0.9785 0.0000
0.9785 0.6561 0.5000
```

Largest 12 diffraction maxima, most intense first, 10° ≤ 2θ ≤ 80°:
2theta, I_rel
31.25, 1000
31.60, 693
45.06, 350
31.70, 339
56.05, 236
62.00, 209
56.20, 175
56.41, 117
62.06, 100
40.90, 93
51.85, 92
65.99, 71